# 1
K2LiBP2O8: calculated PXRD pattern (Cu Kα), based on a cell relaxed with GGA-PBE.
Neutral-atom scattering factors, no anomalous dispersion.

Top 10 peaks for 5 to 70 degrees two-theta, by intensity:
- d 2.912, rel. 100, (2 1 -4)
- d 3.067, rel. 74, (2 2 -2)
- d 2.549, rel. 71, (0 3 2)
- d 3.003, rel. 60, (1 1 2)
- d 3.941, rel. 57, (1 2 -1)
- d 3.190, rel. 57, (1 0 2)
- d 3.163, rel. 47, (2 1 0)
- d 3.738, rel. 39, (1 1 -3)
- d 6.767, rel. 35, (1 0 0)
- d 2.115, rel. 32, (4 0 -4)

Cell and atoms:
Cell: 8.499 8.906 12.485 Å, 90.00 127.23 90.00°
Atoms (fractional coordinates):
K1 0.062 0.226 0.088
K2 0.062 0.274 0.588
K3 0.274 0.725 0.319
K4 0.274 0.775 0.819
K5 0.726 0.225 0.181
K6 0.726 0.275 0.681
K7 0.938 0.726 0.412
K8 0.938 0.774 0.912
Li1 0.192 0.084 0.881
Li2 0.192 0.416 0.381
Li3 0.808 0.584 0.619
Li4 0.808 0.916 0.119
B1 0.468 0.586 0.127
B2 0.468 0.914 0.627
B3 0.532 0.086 0.373
B4 0.532 0.414 0.873
P1 0.209 0.076 0.392
P2 0.209 0.424 0.892
P3 0.470 0.606 0.670
P4 0.470 0.894 0.170
P5 0.530 0.106 0.830
P6 0.530 0.394 0.330
P7 0.791 0.576 0.108
P8 0.791 0.924 0.608
O1 0.066 0.004 0.255
O2 0.066 0.496 0.755
O3 0.131 0.216 0.415
O4 0.131 0.284 0.915
O5 0.267 0.550 0.002
O6 0.267 0.950 0.502
O7 0.294 0.559 0.529
O8 0.294 0.941 0.029
O9 0.328 0.071 0.793
O10 0.328 0.429 0.293
O11 0.408 0.124 0.416
O12 0.408 0.376 0.916
O13 0.446 0.540 0.777
O14 0.446 0.960 0.277
O15 0.451 0.719 0.191
O16 0.451 0.781 0.691
O17 0.549 0.219 0.309
O18 0.549 0.281 0.809
O19 0.554 0.040 0.723
O20 0.554 0.460 0.223
O21 0.592 0.624 0.084
O22 0.592 0.876 0.584
O23 0.672 0.571 0.707
O24 0.672 0.929 0.207
O25 0.706 0.059 0.971
O26 0.706 0.441 0.471
O27 0.733 0.050 0.498
O28 0.733 0.450 0.998
O29 0.869 0.716 0.085
O30 0.869 0.784 0.585
O31 0.934 0.504 0.245
O32 0.934 0.996 0.745



# 2
KLiB2S4: calculated PXRD pattern (Cu Kα), based on a cell relaxed with GGA-PBE.
Neutral-atom scattering factors, no anomalous dispersion.

Top 10 peaks for 5 to 70 degrees two-theta, by intensity:
- d 3.167, rel. 100, (1 2 1)
- d 3.225, rel. 57, (1 1 2)
- d 2.738, rel. 35, (0 1 3)
- d 4.877, rel. 25, (1 0 1)
- d 2.645, rel. 24, (2 1 1)
- d 2.438, rel. 21, (2 0 2)
- d 4.349, rel. 16, (0 0 2)
- d 1.701, rel. 15, (2 4 0)
- d 1.981, rel. 15, (1 1 4)
- d 1.657, rel. 13, (2 3 3)

Cell and atoms:
Cell: 5.890 8.330 8.697 Å, 90.00 90.00 90.00°
Atoms (fractional coordinates):
K1 0.000 0.000 0.000
K2 0.500 0.500 0.500
Li1 0.000 0.000 0.500
Li2 0.500 0.500 0.000
B1 0.000 0.500 0.185
B2 0.000 0.500 0.815
B3 0.500 0.000 0.315
B4 0.500 0.000 0.685
S1 0.221 0.372 0.810
S2 0.221 0.628 0.190
S3 0.279 0.128 0.310
S4 0.279 0.872 0.690
S5 0.721 0.128 0.690
S6 0.721 0.872 0.310
S7 0.779 0.372 0.190
S8 0.779 0.628 0.810



# 3
KMg14BO15: calculated PXRD pattern (Cu Kα), based on a cell relaxed with GGA-PBE.
Neutral-atom scattering factors, no anomalous dispersion.

Top 10 peaks for 5 to 70 degrees two-theta, by intensity:
- d 2.207, rel. 100, (2 0 0)
- d 2.163, rel. 90, (0 4 0)
- d 2.128, rel. 81, (0 0 4)
- d 1.545, rel. 53, (2 4 0)
- d 1.532, rel. 49, (2 0 4)
- d 1.517, rel. 45, (0 4 4)
- d 2.500, rel. 40, (1 2 2)
- d 8.652, rel. 15, (0 1 0)
- d 3.930, rel. 8, (1 1 0)
- d 2.837, rel. 4, (0 0 3)

Cell and atoms:
Cell: 4.414 8.652 8.511 Å, 90.00 90.00 90.00°
Atoms (fractional coordinates):
K1 0.000 0.000 0.000
Mg1 0.000 0.000 0.500
Mg2 0.000 0.241 0.259
Mg3 0.000 0.241 0.743
Mg4 0.000 0.500 0.005
Mg5 0.000 0.759 0.259
Mg6 0.000 0.759 0.743
Mg7 0.500 0.000 0.251
Mg8 0.500 0.000 0.749
Mg9 0.500 0.252 0.000
Mg10 0.500 0.252 0.501
Mg11 0.500 0.500 0.267
Mg12 0.500 0.500 0.740
Mg13 0.500 0.748 0.000
Mg14 0.500 0.748 0.501
B1 0.000 0.500 0.517
O1 0.000 0.000 0.275
O2 0.000 0.000 0.726
O3 0.000 0.252 0.500
O4 0.000 0.280 0.998
O5 0.000 0.500 0.683
O6 0.000 0.720 0.998
O7 0.000 0.748 0.500
O8 0.500 0.000 0.002
O9 0.500 0.000 0.500
O10 0.500 0.254 0.750
O11 0.500 0.256 0.251
O12 0.500 0.500 0.502
O13 0.500 0.500 0.996
O14 0.500 0.744 0.251
O15 0.500 0.746 0.750



# 4
KMg6BO7: calculated PXRD pattern (Cu Kα), based on a cell relaxed with GGA-PBE.
Neutral-atom scattering factors, no anomalous dispersion.

Top 10 peaks for 5 to 70 degrees two-theta, by intensity:
- d 2.346, rel. 100, (2 0 0)
- d 1.510, rel. 35, (2 0 4)
- d 1.659, rel. 29, (2 2 0)
- d 1.974, rel. 24, (0 0 4)
- d 2.540, rel. 23, (1 1 2)
- d 1.389, rel. 9, (3 1 2)
- d 4.033, rel. 7, (1 0 1)
- d 7.895, rel. 6, (0 0 1)
- d 3.058, rel. 5, (1 1 1)
- d 2.295, rel. 4, (1 0 3)

Cell and atoms:
Cell: 4.692 4.692 7.895 Å, 90.00 90.00 90.00°
Atoms (fractional coordinates):
K1 0.000 0.000 0.000
Mg1 0.000 0.500 0.254
Mg2 0.000 0.500 0.739
Mg3 0.500 0.000 0.254
Mg4 0.500 0.000 0.739
Mg5 0.500 0.500 0.496
Mg6 0.500 0.500 0.996
B1 0.000 0.000 0.494
O1 0.000 0.000 0.668
O2 0.000 0.500 0.495
O3 0.000 0.500 0.998
O4 0.500 0.000 0.495
O5 0.500 0.000 0.998
O6 0.500 0.500 0.246
O7 0.500 0.500 0.746



# 5
KMg6BO7: calculated PXRD pattern (Cu Kα), based on a cell relaxed with GGA-PBE.
Neutral-atom scattering factors, no anomalous dispersion.

Top 10 peaks for 5 to 70 degrees two-theta, by intensity:
- d 2.226, rel. 100, (2 0 0)
- d 1.543, rel. 43, (2 0 4)
- d 2.141, rel. 36, (0 0 4)
- d 1.574, rel. 28, (2 2 0)
- d 2.537, rel. 20, (1 1 2)
- d 3.087, rel. 20, (1 0 2)
- d 3.951, rel. 8, (1 0 1)
- d 2.403, rel. 8, (1 0 3)
- d 1.806, rel. 7, (2 1 2)
- d 8.565, rel. 4, (0 0 1)

Cell and atoms:
Cell: 4.453 4.453 8.565 Å, 90.00 90.00 90.00°
Atoms (fractional coordinates):
K1 0.000 0.000 0.000
Mg1 0.000 0.000 0.471
Mg2 0.000 0.500 0.206
Mg3 0.000 0.500 0.721
Mg4 0.500 0.000 0.206
Mg5 0.500 0.000 0.721
Mg6 0.500 0.500 0.457
B1 0.500 0.500 0.905
O1 0.000 0.000 0.698
O2 0.000 0.500 0.469
O3 0.000 0.500 0.952
O4 0.500 0.000 0.469
O5 0.500 0.000 0.952
O6 0.500 0.500 0.227
O7 0.500 0.500 0.743



# 6
KMg6BO7: calculated PXRD pattern (Cu Kα), based on a cell relaxed with GGA-PBE.
Neutral-atom scattering factors, no anomalous dispersion.

Top 10 peaks for 5 to 70 degrees two-theta, by intensity:
- d 2.393, rel. 100, (2 0 0)
- d 1.692, rel. 30, (2 2 0)
- d 1.518, rel. 29, (2 0 4)
- d 2.563, rel. 25, (1 1 2)
- d 1.963, rel. 19, (0 0 4)
- d 1.412, rel. 10, (3 1 2)
- d 2.296, rel. 8, (1 0 3)
- d 1.657, rel. 5, (2 1 3)
- d 1.766, rel. 4, (2 0 3)
- d 4.086, rel. 4, (1 0 1)

Cell and atoms:
Cell: 4.786 4.786 7.851 Å, 90.00 90.00 90.00°
Atoms (fractional coordinates):
K1 0.000 0.000 0.000
Mg1 0.000 0.500 0.254
Mg2 0.000 0.500 0.742
Mg3 0.500 0.000 0.254
Mg4 0.500 0.000 0.742
Mg5 0.500 0.500 0.003
Mg6 0.500 0.500 0.494
B1 0.000 0.000 0.499
O1 0.000 0.000 0.329
O2 0.000 0.000 0.670
O3 0.000 0.500 0.498
O4 0.000 0.500 0.998
O5 0.500 0.000 0.498
O6 0.500 0.000 0.998
O7 0.500 0.500 0.749



# 7
KMg14BO15: calculated PXRD pattern (Cu Kα), based on a cell relaxed with GGA-PBE.
Neutral-atom scattering factors, no anomalous dispersion.

Top 10 peaks for 5 to 70 degrees two-theta, by intensity:
- d 2.252, rel. 100, (2 0 0)
- d 2.174, rel. 82, (0 0 4)
- d 2.078, rel. 67, (0 4 0)
- d 1.564, rel. 50, (2 0 4)
- d 1.527, rel. 42, (2 4 0)
- d 2.499, rel. 39, (1 2 2)
- d 1.502, rel. 37, (0 4 4)
- d 2.338, rel. 6, (0 3 2)
- d 8.694, rel. 6, (0 0 1)
- d 2.927, rel. 5, (1 1 2)

Cell and atoms:
Cell: 4.504 8.315 8.694 Å, 90.00 90.00 90.00°
Atoms (fractional coordinates):
K1 0.000 0.000 0.000
Mg1 0.000 0.000 0.520
Mg2 0.000 0.243 0.272
Mg3 0.000 0.267 0.756
Mg4 0.000 0.500 0.512
Mg5 0.000 0.733 0.756
Mg6 0.000 0.757 0.272
Mg7 0.500 0.000 0.265
Mg8 0.500 0.000 0.762
Mg9 0.500 0.251 0.514
Mg10 0.500 0.261 0.019
Mg11 0.500 0.500 0.264
Mg12 0.500 0.500 0.777
Mg13 0.500 0.739 0.019
Mg14 0.500 0.749 0.514
B1 0.000 0.500 0.079
O1 0.000 0.000 0.284
O2 0.000 0.255 0.509
O3 0.000 0.333 0.027
O4 0.000 0.500 0.250
O5 0.000 0.500 0.739
O6 0.000 0.667 0.027
O7 0.000 0.745 0.509
O8 0.500 0.000 0.021
O9 0.500 0.000 0.515
O10 0.500 0.250 0.265
O11 0.500 0.253 0.771
O12 0.500 0.500 0.028
O13 0.500 0.500 0.504
O14 0.500 0.747 0.771
O15 0.500 0.750 0.265



# 8
KMg14BO15: calculated PXRD pattern (Cu Kα), based on a cell relaxed with GGA-PBE.
Neutral-atom scattering factors, no anomalous dispersion.

Top 10 peaks for 5 to 70 degrees two-theta, by intensity:
- d 2.238, rel. 100, (2 0 0)
- d 2.125, rel. 75, (0 0 4)
- d 2.155, rel. 69, (0 4 0)
- d 1.541, rel. 46, (2 0 4)
- d 1.552, rel. 42, (2 4 0)
- d 2.507, rel. 41, (1 2 2)
- d 1.513, rel. 34, (0 4 4)
- d 8.501, rel. 7, (0 0 1)
- d 2.873, rel. 5, (0 3 0)
- d 2.380, rel. 5, (0 3 2)

Cell and atoms:
Cell: 4.476 8.619 8.501 Å, 90.00 90.00 90.00°
Atoms (fractional coordinates):
K1 0.000 0.000 0.000
Mg1 0.000 0.000 0.549
Mg2 0.000 0.242 0.281
Mg3 0.000 0.278 0.785
Mg4 0.000 0.500 0.041
Mg5 0.000 0.722 0.785
Mg6 0.000 0.758 0.281
Mg7 0.500 0.000 0.288
Mg8 0.500 0.000 0.778
Mg9 0.500 0.251 0.040
Mg10 0.500 0.269 0.535
Mg11 0.500 0.500 0.287
Mg12 0.500 0.500 0.787
Mg13 0.500 0.731 0.535
Mg14 0.500 0.749 0.040
B1 0.000 0.500 0.475
O1 0.000 0.000 0.317
O2 0.000 0.273 0.044
O3 0.000 0.336 0.529
O4 0.000 0.500 0.304
O5 0.000 0.500 0.809
O6 0.000 0.664 0.529
O7 0.000 0.727 0.044
O8 0.500 0.000 0.042
O9 0.500 0.000 0.537
O10 0.500 0.250 0.291
O11 0.500 0.252 0.784
O12 0.500 0.500 0.046
O13 0.500 0.500 0.528
O14 0.500 0.748 0.784
O15 0.500 0.750 0.291



# 9
KB6N6: calculated PXRD pattern (Cu Kα), based on a cell relaxed with GGA-PBE.
Neutral-atom scattering factors, no anomalous dispersion.

Top 8 peaks for 5 to 70 degrees two-theta, by intensity:
- d 1.876, rel. 100, (2 1 1)
- d 4.596, rel. 83, (1 0 0)
- d 2.298, rel. 54, (2 0 0)
- d 2.055, rel. 43, (2 0 1)
- d 2.654, rel. 34, (1 1 1)
- d 1.532, rel. 15, (3 0 0)
- d 1.386, rel. 8, (3 1 1)
- d 3.250, rel. 1, (1 1 0)

Cell and atoms:
Cell: 4.596 4.596 4.596 Å, 90.00 90.00 90.00°
Atoms (fractional coordinates):
K1 0.000 0.000 0.000
B1 0.000 0.267 0.500
B2 0.000 0.733 0.500
B3 0.267 0.500 0.000
B4 0.500 0.000 0.267
B5 0.500 0.000 0.733
B6 0.733 0.500 0.000
N1 0.000 0.500 0.249
N2 0.000 0.500 0.751
N3 0.249 0.000 0.500
N4 0.500 0.249 0.000
N5 0.500 0.751 0.000
N6 0.751 0.000 0.500



# 10
KPaBN3: calculated PXRD pattern (Cu Kα), based on a cell relaxed with GGA-PBE.
Neutral-atom scattering factors, no anomalous dispersion.

Top 10 peaks for 5 to 70 degrees two-theta, by intensity:
- d 4.812, rel. 100, (1 0 0)
- d 2.649, rel. 68, (1 0 2)
- d 2.778, rel. 43, (1 1 0)
- d 1.917, rel. 31, (2 0 2)
- d 1.578, rel. 27, (2 1 2)
- d 2.090, rel. 21, (1 1 2)
- d 1.819, rel. 17, (2 1 0)
- d 2.406, rel. 14, (2 0 0)
- d 1.378, rel. 10, (1 1 4)
- d 1.507, rel. 9, (1 0 4)

Cell and atoms:
Cell: 5.556 5.556 6.347 Å, 90.00 90.00 120.00°
Atoms (fractional coordinates):
K1 0.333 0.667 0.250
K2 0.667 0.333 0.750
Pa1 0.000 0.000 0.000
Pa2 0.000 0.000 0.500
B1 0.333 0.667 0.750
B2 0.667 0.333 0.250
N1 0.178 0.356 0.750
N2 0.178 0.822 0.750
N3 0.356 0.178 0.250
N4 0.644 0.822 0.750
N5 0.822 0.178 0.250
N6 0.822 0.644 0.250



Please write out number 2 again, unchanged.
KLiB2S4: calculated PXRD pattern (Cu Kα), based on a cell relaxed with GGA-PBE.
Neutral-atom scattering factors, no anomalous dispersion.

Top 10 peaks for 5 to 70 degrees two-theta, by intensity:
- d 3.167, rel. 100, (1 2 1)
- d 3.225, rel. 57, (1 1 2)
- d 2.738, rel. 35, (0 1 3)
- d 4.877, rel. 25, (1 0 1)
- d 2.645, rel. 24, (2 1 1)
- d 2.438, rel. 21, (2 0 2)
- d 4.349, rel. 16, (0 0 2)
- d 1.701, rel. 15, (2 4 0)
- d 1.981, rel. 15, (1 1 4)
- d 1.657, rel. 13, (2 3 3)

Cell and atoms:
Cell: 5.890 8.330 8.697 Å, 90.00 90.00 90.00°
Atoms (fractional coordinates):
K1 0.000 0.000 0.000
K2 0.500 0.500 0.500
Li1 0.000 0.000 0.500
Li2 0.500 0.500 0.000
B1 0.000 0.500 0.185
B2 0.000 0.500 0.815
B3 0.500 0.000 0.315
B4 0.500 0.000 0.685
S1 0.221 0.372 0.810
S2 0.221 0.628 0.190
S3 0.279 0.128 0.310
S4 0.279 0.872 0.690
S5 0.721 0.128 0.690
S6 0.721 0.872 0.310
S7 0.779 0.372 0.190
S8 0.779 0.628 0.810